For K2NiI2Cl4, a cell relaxed with GGA-PBE gives the calculated powder XRD pattern in this record (a wavelength of 1.5418 Å).
Intensities are scaled so that the largest is 1000.

The 6 most intense peaks (10 to 80 degrees two-theta), most intense first:
2theta, d/Å, Rel. int.
15.9, 5.567, 1000
32.6, 2.751, 737
32.2, 2.784, 692
22.6, 3.937, 566
40.0, 2.255, 496
52.2, 1.752, 465

Structural model:
```
data_K2NiI2Cl4
_chemical_formula_sum 'K4 Ni2 I4 Cl8'
_space_group_name_H-M_alt 'I 4/m m m'
_space_group_IT_number 139
_space_group_name_Hall '-I 4 2'
_cell_length_a 7.873
_cell_length_b 7.873
_cell_length_c 8.806
_cell_angle_alpha 90.00
_cell_angle_beta 90.00
_cell_angle_gamma 90.00
loop_
_atom_site_label
_atom_site_fract_x
_atom_site_fract_y
_atom_site_fract_z
K1 0.000 0.500 0.250
Ni1 0.000 0.000 0.000
I1 0.000 0.000 0.336
Cl1 0.197 0.197 0.000
```

---

For Li3TcO4, a cell relaxed with GGA-PBE gives the calculated powder XRD pattern in this record (a wavelength of 1.5418 Å).
Intensities are scaled so that the largest is 1000.

The 6 most intense peaks (10 to 80 degrees two-theta), most intense first:
2theta, d/Å, Rel. int.
19.5, 4.560, 1000
25.6, 3.476, 688
26.8, 3.332, 435
29.5, 3.026, 405
29.7, 3.006, 403
52.7, 1.738, 344

Structural model:
```
data_Li3TcO4
_chemical_formula_sum 'Li6 Tc2 O8'
_space_group_name_H-M_alt 'P m m n'
_space_group_IT_number 59
_cell_length_a 4.004
_cell_length_b 7.006
_cell_length_c 6.007
_cell_angle_alpha 90.00
_cell_angle_beta 90.00
_cell_angle_gamma 90.00
loop_
_space_group_symop_operation_xyz
'x,y,z'
'-x,-y,-z'
'-x+1/2,-y+1/2,z'
'x+1/2,y+1/2,-z'
'x+1/2,-y,-z'
'-x+1/2,y,z'
'-x,y+1/2,-z'
'x,-y+1/2,z'
loop_
_atom_site_label
_atom_site_fract_x
_atom_site_fract_y
_atom_site_fract_z
Li1 0.250 0.010 0.164
Li2 0.250 0.750 0.679
Tc1 0.250 0.250 0.665
O1 0.250 0.022 0.823
O2 0.250 0.250 0.354
O3 0.250 0.750 0.335
```

---

For Sr16Cu8O23, a cell relaxed with GGA-PBE gives the calculated powder XRD pattern in this record (a wavelength of 1.5418 Å).
Intensities are scaled so that the largest is 1000.

The 6 most intense peaks (10 to 80 degrees two-theta), most intense first:
2theta, d/Å, Rel. int.
33.8, 2.649, 1000
33.0, 2.718, 715
30.9, 2.895, 630
57.4, 1.605, 288
45.6, 1.989, 252
42.8, 2.111, 213

Structural model:
```
data_Sr16Cu8O23
_chemical_formula_sum 'Sr16 Cu8 O23'
_space_group_name_H-M_alt 'P -1'
_space_group_IT_number 2
_cell_length_a 6.874
_cell_length_b 10.200
_cell_length_c 11.374
_cell_angle_alpha 106.52
_cell_angle_beta 98.15
_cell_angle_gamma 105.52
loop_
_space_group_symop_operation_xyz
'x,y,z'
'-x,-y,-z'
loop_
_atom_site_label
_atom_site_fract_x
_atom_site_fract_y
_atom_site_fract_z
Sr1 0.030 0.241 0.375
Sr2 0.094 0.886 0.377
Sr3 0.155 0.363 0.124
Sr4 0.206 0.009 0.129
Sr5 0.281 0.492 0.875
Sr6 0.342 0.141 0.871
Sr7 0.406 0.615 0.626
Sr8 0.466 0.261 0.623
Cu1 0.066 0.564 0.375
Cu2 0.187 0.686 0.126
Cu3 0.323 0.822 0.879
Cu4 0.438 0.937 0.626
O1 0.000 0.500 0.000
O2 0.049 0.238 0.874
O3 0.106 0.904 0.885
O4 0.118 0.619 0.747
O5 0.168 0.357 0.623
O6 0.203 0.014 0.624
O7 0.250 0.748 0.499
O8 0.300 0.486 0.375
O9 0.327 0.142 0.374
O10 0.373 0.874 0.248
O11 0.419 0.605 0.126
O12 0.445 0.245 0.115
```

---

For La12Y2Er5, a cell relaxed with GGA-PBE gives the calculated powder XRD pattern in this record (a wavelength of 1.5418 Å).
Intensities are scaled so that the largest is 1000.

The 6 most intense peaks (10 to 80 degrees two-theta), most intense first:
2theta, d/Å, Rel. int.
31.1, 2.879, 1000
30.4, 2.937, 409
31.9, 2.806, 398
30.1, 2.966, 194
26.4, 3.375, 180
34.2, 2.619, 173

Structural model:
```
data_La12Y2Er5
_chemical_formula_sum 'La24 Y4 Er10'
_space_group_name_H-M_alt 'C 1 2/m 1'
_space_group_IT_number 12
_cell_length_a 13.307
_cell_length_b 11.749
_cell_length_c 9.584
_cell_angle_alpha 90.00
_cell_angle_beta 117.33
_cell_angle_gamma 90.00
loop_
_space_group_symop_operation_xyz
'x,y,z'
'-x,-y,-z'
'-x,y,-z'
'x,-y,z'
'x+1/2,y+1/2,z'
'-x+1/2,-y+1/2,-z'
'-x+1/2,y+1/2,-z'
'x+1/2,-y+1/2,z'
loop_
_atom_site_label
_atom_site_fract_x
_atom_site_fract_y
_atom_site_fract_z
La1 0.061 0.000 0.279
La2 0.097 0.500 0.419
La3 0.104 0.239 0.908
La4 0.214 0.237 0.316
Y1 0.000 0.216 0.500
Er1 0.000 0.500 0.000
Er2 0.197 0.000 0.732
Er3 0.217 0.500 0.861
```

---

For Cd2SnHg6, a cell relaxed with GGA-PBE gives the calculated powder XRD pattern in this record (a wavelength of 1.5418 Å).
Intensities are scaled so that the largest is 1000.

The 6 most intense peaks (10 to 80 degrees two-theta), most intense first:
2theta, d/Å, Rel. int.
29.9, 2.990, 1000
37.8, 2.380, 466
39.2, 2.299, 449
32.3, 2.771, 313
44.4, 2.042, 269
28.6, 3.121, 239

Structural model:
```
data_Cd2SnHg6
_chemical_formula_sum 'Cd6 Sn3 Hg18'
_space_group_name_H-M_alt 'R 3'
_space_group_IT_number 146
_space_group_name_Hall 'R 3'
_cell_length_a 7.3602
_cell_length_b 7.3602
_cell_length_c 15.3815
_cell_angle_alpha 90.00
_cell_angle_beta 90.00
_cell_angle_gamma 120.00
loop_
_atom_site_label
_atom_site_fract_x
_atom_site_fract_y
_atom_site_fract_z
Cd1 0.0000 0.0000 0.0000
Cd2 0.0000 0.0000 0.1947
Sn1 0.0000 0.0000 0.7946
Hg1 0.0082 0.7562 0.3808
Hg2 0.0249 0.2596 0.5649
```

---

For DyMn5B3, a cell relaxed with GGA-PBE gives the calculated powder XRD pattern in this record (a wavelength of 1.5418 Å).
Intensities are scaled so that the largest is 1000.

The 6 most intense peaks (10 to 80 degrees two-theta), most intense first:
2theta, d/Å, Rel. int.
35.8, 2.510, 1000
38.1, 2.364, 969
29.8, 2.994, 760
44.6, 2.033, 650
29.2, 3.058, 581
55.2, 1.663, 572

Structural model:
```
data_DyMn5B3
_chemical_formula_sum 'Dy4 Mn20 B12'
_space_group_name_H-M_alt 'C m c m'
_space_group_IT_number 63
_space_group_name_Hall '-C 2c 2'
_cell_length_a 3.328
_cell_length_b 11.450
_cell_length_c 10.537
_cell_angle_alpha 90.00
_cell_angle_beta 90.00
_cell_angle_gamma 90.00
loop_
_atom_site_label
_atom_site_fract_x
_atom_site_fract_y
_atom_site_fract_z
Dy1 0.000 0.168 0.250
Mn1 0.000 0.000 0.000
Mn2 0.000 0.193 0.556
Mn3 0.000 0.450 0.149
B1 0.000 0.138 0.750
B2 0.000 0.378 0.550
```

---

For Ce5Sb2O, a cell relaxed with GGA-PBE gives the calculated powder XRD pattern in this record (a wavelength of 1.5418 Å).
Intensities are scaled so that the largest is 1000.

The 6 most intense peaks (10 to 80 degrees two-theta), most intense first:
2theta, d/Å, Rel. int.
33.2, 2.698, 1000
36.4, 2.467, 486
63.5, 1.465, 304
52.5, 1.744, 168
57.2, 1.611, 152
16.4, 5.397, 131

Structural model:
```
data_Ce5Sb2O
_chemical_formula_sum 'Ce10 Sb4 O2'
_space_group_name_H-M_alt 'I 4 m m'
_space_group_IT_number 107
_space_group_name_Hall 'I 4 -2'
_cell_length_a 6.978
_cell_length_b 6.978
_cell_length_c 8.513
_cell_angle_alpha 90.00
_cell_angle_beta 90.00
_cell_angle_gamma 90.00
loop_
_atom_site_label
_atom_site_fract_x
_atom_site_fract_y
_atom_site_fract_z
Ce1 0.000 0.000 0.000
Ce2 0.246 0.246 0.660
Sb1 0.000 0.500 0.414
O1 0.000 0.000 0.708
```